Entry 1:
Calculated powder diffractogram
Compound: ZnHgSO
Radiation: Cu Kα, 1.54184 Å
Structure: a crystal structure in OQMD, relaxed with GGA-PBE
Peak positions follow from Bragg's law for the DFT cell and can differ from measured ones.

The 12 most intense peaks (2θ = 5–70°), sorted by position:
2θ/deg, I_rel
23.93, 76
26.39, 27
28.86, 42
30.77, 100
31.39, 60
32.95, 32
33.35, 48
43.16, 25
44.67, 32
46.45, 27
49.66, 21
55.61, 21

```
data_ZnHgSO
_cell_length_a 6.186
_cell_length_b 8.061
_cell_length_c 5.699
_cell_angle_alpha 90.00
_cell_angle_beta 90.00
_cell_angle_gamma 90.00
_symmetry_space_group_name_H-M 'P 1'
_symmetry_Int_Tables_number 1
loop_
_symmetry_equiv_pos_as_xyz
'x,y,z'
loop_
_atom_site_label
_atom_site_fract_x
_atom_site_fract_y
_atom_site_fract_z
Zn1 0.112 0.078 0.000
Zn2 0.388 0.078 0.500
Zn3 0.612 0.922 0.000
Zn4 0.888 0.922 0.500
Hg1 0.048 0.657 0.077
Hg2 0.452 0.657 0.577
Hg3 0.548 0.343 0.077
Hg4 0.952 0.343 0.577
S1 0.030 0.658 0.614
S2 0.470 0.658 0.114
S3 0.530 0.342 0.614
S4 0.970 0.342 0.114
O1 0.097 0.078 0.649
O2 0.403 0.078 0.149
O3 0.597 0.922 0.649
O4 0.903 0.922 0.149
```

=====

Entry 2:
Calculated powder diffractogram
Compound: SnPd10
Radiation: Cu Kα, 1.54184 Å
Structure: a crystal structure in OQMD, relaxed with GGA-PBE
Peak positions follow from Bragg's law for the DFT cell and can differ from measured ones.

The 12 most intense peaks (2θ = 5–70°), sorted by position:
2θ/deg, I_rel
5.89, 100
36.97, 10
39.31, 57
39.68, 49
40.48, 24
41.76, 10
44.31, 19
46.46, 18
46.97, 15
47.16, 8
66.15, 10
68.20, 10

```
data_SnPd10
_cell_length_a 4.771
_cell_length_b 4.771
_cell_length_c 29.992
_cell_angle_alpha 90.36
_cell_angle_beta 90.36
_cell_angle_gamma 48.37
_symmetry_space_group_name_H-M 'P 1'
_symmetry_Int_Tables_number 1
loop_
_symmetry_equiv_pos_as_xyz
'x,y,z'
loop_
_atom_site_label
_atom_site_fract_x
_atom_site_fract_y
_atom_site_fract_z
Sn1 0.156 0.156 0.188
Sn2 0.844 0.844 0.812
Pd1 0.049 0.049 0.395
Pd2 0.049 0.049 0.695
Pd3 0.145 0.145 0.788
Pd4 0.150 0.150 0.485
Pd5 0.251 0.251 0.575
Pd6 0.256 0.256 0.276
Pd7 0.349 0.349 0.665
Pd8 0.350 0.350 0.366
Pd9 0.446 0.446 0.756
Pd10 0.450 0.450 0.455
Pd11 0.550 0.550 0.545
Pd12 0.554 0.554 0.244
Pd13 0.650 0.650 0.634
Pd14 0.651 0.651 0.335
Pd15 0.744 0.744 0.724
Pd16 0.749 0.749 0.425
Pd17 0.850 0.850 0.515
Pd18 0.855 0.855 0.212
Pd19 0.951 0.951 0.305
Pd20 0.951 0.951 0.605
```